The following is a simulated PXRD pattern of In5Se8. It was derived from the PBE geometry in Alexandria, using Cu Kα X-rays.
No peak broadening, texture or thermal motion is included.

Main lines, by angle (10° ≤ 2θ ≤ 80°):
| d [Å] | two_theta | I (rel.) | index |
| --- | --- | --- | --- |
| 6.553 | 13.51 | 36 | 1 1 1 |
| 5.675 | 15.62 | 10 | 2 0 0 |
| 3.422 | 26.04 | 61 | 3 1 1 |
| 2.837 | 31.53 | 93 | 4 0 0 |
| 2.604 | 34.44 | 10 | 3 3 1 |
| 2.317 | 38.87 | 11 | 4 2 2 |
| 2.184 | 41.34 | 38 | 5 1 1 |
| 2.006 | 45.19 | 100 | 4 4 0 |
| 1.638 | 56.15 | 21 | 4 4 4 |
| 1.478 | 62.90 | 13 | 5 5 3 |
| 1.419 | 65.83 | 15 | 8 0 0 |
| 1.269 | 74.82 | 24 | 8 4 0 |

Structural model:
Unit cell a=11.3496 b=11.3496 c=11.3496 alpha=90.00 beta=90.00 gamma=90.00
Space group F-43m (No. 216)
Inequivalent atoms, fractional coordinates:
In 0.0000 0.0000 0.0000 (multiplicity 4)
In 0.1151 0.1151 0.3849 (multiplicity 16)
Se 0.1250 0.1250 0.6250 (multiplicity 16)
Se 0.1351 0.1351 0.1351 (multiplicity 16)